1.
This entry pairs a crystal structure of Sc9Ni5Ge8 with its computed powder X-ray diffraction pattern. Radiation: Cu Kα, 1.54184 Å. Structure: a DFT-relaxed cell (GGA-PBE, the Materials Project).
Intensities are scaled so that the largest is 100.

Main lines, by intensity (15° ≤ 2θ ≤ 90°):
2θ/deg  intensity  h k l
37.1  100.0  1 2 5
38.6  86.6  1 3 2
46.3  51.5  2 0 0
35.8  41.8  1 1 6
39.7  36.9  0 2 8
48.1  35.7  1 4 3
51.7  29.8  1 3 8
43.1  27.0  0 0 10

Structure:
Cell: 3.923 9.074 20.987 Å, 90.00 90.00 90.00°
Space group Immm (No. 71)
Asymmetric unit:
Sc 0.000 0.000 0.000 (multiplicity 2)
Sc 0.000 0.305 0.415 (multiplicity 8)
Sc 0.000 0.500 0.108 (multiplicity 4)
Sc 0.000 0.500 0.272 (multiplicity 4)
Ni 0.000 0.000 0.500 (multiplicity 2)
Ni 0.000 0.225 0.196 (multiplicity 8)
Ge 0.000 0.000 0.134 (multiplicity 4)
Ge 0.000 0.138 0.309 (multiplicity 8)
Ge 0.000 0.313 0.000 (multiplicity 4)

2.
This entry pairs a crystal structure of MgZn2 with its computed powder X-ray diffraction pattern. Radiation: Cu Kα, 1.54184 Å. Structure: a DFT-relaxed cell (GGA-PBE, the Materials Project).
Intensities are scaled so that the largest is 100.

Main lines, by intensity (15° ≤ 2θ ≤ 90°):
2θ/deg  intensity  h k l
40.2  100.0  1 3 1
41.3  52.0  0 6 1
38.0  41.7  0 0 2
77.7  31.1  1 9 2
35.3  29.3  1 3 0
52.8  17.6  1 3 2
70.2  17.6  1 3 3
64.8  14.6  1 9 0

Structure:
Cell: 2.970 14.792 4.734 Å, 90.00 90.00 90.00°
Space group Cmcm (No. 63)
Asymmetric unit:
Mg 0.000 0.216 0.250 (multiplicity 4)
Zn 0.000 0.108 0.750 (multiplicity 4)
Zn 0.000 0.451 0.750 (multiplicity 4)

3.
This entry pairs a crystal structure of LiBiO2 with its computed powder X-ray diffraction pattern. Radiation: Cu Kα, 1.54184 Å. Structure: a DFT-relaxed cell (GGA-PBE, the Materials Project).
Intensities are scaled so that the largest is 100.

Main lines, by intensity (15° ≤ 2θ ≤ 90°):
2θ/deg  intensity  h k l
26.8  100.0  1 2 1
31.7  32.2  1 4 1
28.7  29.6  0 6 0
46.6  28.2  1 8 1
19.1  27.7  0 4 0
33.5  21.2  2 0 0
37.8  17.0  0 0 2
55.9  15.0  3 2 1

Structure:
Cell: 5.350 18.631 4.761 Å, 90.00 90.00 90.00°
Space group Ibam (No. 72)
Asymmetric unit:
Li 0.000 0.250 0.250 (multiplicity 8)
Bi 0.239 0.090 0.000 (multiplicity 8)
O 0.162 0.081 0.500 (multiplicity 8)
O 0.249 0.298 0.500 (multiplicity 8)

4.
This entry pairs a crystal structure of BaGaSi with its computed powder X-ray diffraction pattern. Radiation: Cu Kα, 1.54184 Å. Structure: a DFT-relaxed cell (GGA-PBE, the Materials Project).
Intensities are scaled so that the largest is 100.

Main lines, by intensity (15° ≤ 2θ ≤ 90°):
2θ/deg  intensity  h k l
29.8  100.0  1 0 1
42.3  29.6  1 1 0
56.0  25.5  1 1 2
52.6  19.8  2 0 1
24.1  19.1  1 0 0
69.7  17.0  2 1 1
35.0  17.0  0 0 2
59.5  13.6  1 0 3

Structure:
Cell: 4.2721 4.2721 5.1325 Å, 90.00 90.00 120.00°
Space group P-6m2 (No. 187)
Asymmetric unit:
Ba 0.0000 0.0000 0.0000 (multiplicity 1)
Ga 0.3333 0.6667 0.5000 (multiplicity 1)
Si 0.6667 0.3333 0.5000 (multiplicity 1)

5.
This entry pairs a crystal structure of NiS2 with its computed powder X-ray diffraction pattern. Radiation: Cu Kα, 1.54184 Å. Structure: a DFT-relaxed cell (GGA-PBE, the Materials Project).
Intensities are scaled so that the largest is 100.

Main lines, by intensity (15° ≤ 2θ ≤ 90°):
2θ/deg  intensity  h k l
40.6  100.0  1 1 1
17.5  79.9  0 0 2
45.5  35.9  1 0 4
38.6  25.2  1 0 3
57.2  23.1  2 0 0
53.3  22.5  1 0 5
54.1  19.6  1 1 4
26.3  19.2  0 0 3

Structure:
Cell: 3.223 3.223 10.150 Å, 90.00 90.00 90.00°
Space group P4/nmm (No. 129, origin choice 2)
Asymmetric unit:
Ni 0.250 0.250 0.073 (multiplicity 2)
S 0.250 0.250 0.855 (multiplicity 2)
S 0.250 0.750 0.500 (multiplicity 2)

6.
This entry pairs a crystal structure of Be12Co with its computed powder X-ray diffraction pattern. Radiation: Cu Kα, 1.54184 Å. Structure: a DFT-relaxed cell (GGA-PBE, the Materials Project).
Intensities are scaled so that the largest is 100.

Main lines, by intensity (15° ≤ 2θ ≤ 90°):
2θ/deg  intensity  h k l
17.5  100.0  1 1 0
35.6  84.5  2 1 1
25.1  81.6  1 0 1
51.0  61.8  3 2 1
43.9  43.0  3 0 1
51.4  35.2  2 0 2
39.7  34.1  3 1 0
24.8  32.0  2 0 0

Structure:
Cell: 7.174 7.174 4.090 Å, 90.00 90.00 90.00°
Space group I4/mmm (No. 139)
Asymmetric unit:
Be 0.000 0.213 0.000 (multiplicity 8)
Be 0.000 0.345 0.500 (multiplicity 8)
Be 0.250 0.250 0.250 (multiplicity 8)
Co 0.000 0.000 0.500 (multiplicity 2)

7.
This entry pairs a crystal structure of Tb4CdIr with its computed powder X-ray diffraction pattern. Radiation: Cu Kα, 1.54184 Å. Structure: a DFT-relaxed cell (GGA-PBE, the Materials Project).
Intensities are scaled so that the largest is 100.

Main lines, by intensity (15° ≤ 2θ ≤ 90°):
2θ/deg  intensity  h k l
34.0  100.0  5 1 1
32.0  40.3  4 2 2
57.0  40.1  6 6 0
37.1  36.1  4 4 0
28.4  15.5  3 3 1
87.8  14.2  10 6 4
58.3  14.1  5 5 5
86.0  13.6  11 5 1

Structure:
Cell: 13.710 13.710 13.710 Å, 90.00 90.00 90.00°
Space group F-43m (No. 216)
Asymmetric unit:
Tb 0.000 0.000 0.187 (multiplicity 24)
Tb 0.061 0.250 0.750 (multiplicity 24)
Tb 0.099 0.099 0.401 (multiplicity 16)
Cd 0.169 0.169 0.169 (multiplicity 16)
Ir 0.108 0.108 0.608 (multiplicity 16)

8.
This entry pairs a crystal structure of Li6OsN4 with its computed powder X-ray diffraction pattern. Radiation: Cu Kα, 1.54184 Å. Structure: a DFT-relaxed cell (GGA-PBE, the Materials Project).
Intensities are scaled so that the largest is 100.

Main lines, by intensity (15° ≤ 2θ ≤ 90°):
2θ/deg  intensity  h k l
22.7  100.0  1 0 1
18.6  64.1  1 1 0
35.1  54.7  2 1 1
26.4  28.6  2 0 0
44.4  20.4  3 0 1
42.0  18.4  1 1 2
42.3  15.6  3 1 0
52.4  15.1  3 2 1

Structure:
Cell: 6.754 6.754 4.821 Å, 90.00 90.00 90.00°
Space group P4_2/nmc (No. 137, origin choice 2)
Asymmetric unit:
Li 0.040 0.540 0.250 (multiplicity 8)
Li 0.250 0.250 0.138 (multiplicity 4)
Os 0.250 0.750 0.750 (multiplicity 2)
N 0.002 0.250 0.420 (multiplicity 8)